1.
Theoretical X-ray powder pattern of K3Hg2I8 for λ = 1.5418 Å (Cu Kα), from a structure optimized by DFT (GGA-PBE).
Kinematic intensities with the Lorentz-polarization factor, no thermal factor.

Peak list (10 most intense, 10° ≤ 2θ ≤ 80°, in order of rising 2θ)
7.073 Å, intensity 60, (1 0 1); 5.273 Å, intensity 100, (1 0 4); 5.107 Å, intensity 57, (0 0 6); 4.197 Å, intensity 71, (1 1 0); 3.882 Å, intensity 59, (1 1 3); 3.536 Å, intensity 93, (2 0 2); 3.126 Å, intensity 55, (2 0 5); 2.824 Å, intensity 67, (1 0 10); 2.211 Å, intensity 67, (2 0 11); 2.098 Å, intensity 85, (2 2 0)

Structural model:
```
data_K3Hg2I8
_chemical_formula_sum 'K9 Hg6 I24'
_symmetry_space_group_name_H-M 'R -3 m'
_symmetry_Int_Tables_number 166
_symmetry_space_group_name_Hall '-R 3 2"'
_cell_length_a 8.3935
_cell_length_b 8.3935
_cell_length_c 30.6440
_cell_angle_alpha 90.00
_cell_angle_beta 90.00
_cell_angle_gamma 120.00
loop_
_atom_site_label
_atom_site_type_symbol
_atom_site_fract_x
_atom_site_fract_y
_atom_site_fract_z
K1 K 0.0000 0.0000 0.0000
K2 K 0.0000 0.0000 0.2010
Hg1 Hg 0.0000 0.0000 0.4033
I1 I 0.0000 0.0000 0.3122
I2 I 0.0315 0.5157 0.7691
```


2.
Theoretical X-ray powder pattern of Al2O3 for λ = 1.5418 Å (Cu Kα), from a structure optimized by DFT (GGA-PBE).
Kinematic intensities with the Lorentz-polarization factor, no thermal factor.

Peak list (10 most intense, 10° ≤ 2θ ≤ 80°, in order of rising 2θ)
3.400 Å, intensity 30, (1 1 1); 2.546 Å, intensity 28, (0 2 0); 2.485 Å, intensity 100, (1 1 4); 2.112 Å, intensity 36, (1 0 6); 1.762 Å, intensity 21, (0 0 8); 1.752 Å, intensity 36, (2 2 0); 1.591 Å, intensity 21, (1 3 1); 1.458 Å, intensity 23, (1 3 4); 1.449 Å, intensity 21, (0 2 8); 1.407 Å, intensity 56, (3 1 4)

Structural model:
```
data_Al2O3
_chemical_formula_sum 'Al16 O24'
_symmetry_space_group_name_H-M 'P b c a'
_symmetry_Int_Tables_number 61
_cell_length_a 4.8286
_cell_length_b 5.0925
_cell_length_c 14.0938
_cell_angle_alpha 90.00
_cell_angle_beta 90.00
_cell_angle_gamma 90.00
loop_
_symmetry_equiv_pos_as_xyz
'x,y,z'
'-x,-y,-z'
'-x+1/2,-y,z+1/2'
'x+1/2,y,-z+1/2'
'x+1/2,-y+1/2,-z'
'-x+1/2,y+1/2,z'
'-x,y+1/2,-z+1/2'
'x,-y+1/2,z+1/2'
loop_
_atom_site_label
_atom_site_type_symbol
_atom_site_fract_x
_atom_site_fract_y
_atom_site_fract_z
Al1 Al 0.0008 0.1838 0.0730
Al2 Al 0.0028 0.2451 0.3213
O1 O 0.1435 0.1166 0.2032
O2 O 0.1530 0.6647 0.5497
O3 O 0.1979 0.5389 0.8765
```


3.
Theoretical X-ray powder pattern of Li2PmTm for λ = 1.5418 Å (Cu Kα), from a structure optimized by DFT (GGA-PBE).
Kinematic intensities with the Lorentz-polarization factor, no thermal factor.

Peak list (10 most intense, 10° ≤ 2θ ≤ 80°, in order of rising 2θ)
3.754 Å, intensity 100, (1 1 0); 3.688 Å, intensity 48, (0 0 1); 2.654 Å, intensity 46, (2 0 0); 2.631 Å, intensity 90, (1 1 1); 2.154 Å, intensity 45, (2 0 1); 1.877 Å, intensity 17, (2 2 0); 1.679 Å, intensity 21, (3 1 0); 1.673 Å, intensity 20, (2 2 1); 1.655 Å, intensity 20, (1 1 2); 1.528 Å, intensity 35, (3 1 1)

Structural model:
```
data_Li2PmTm
_chemical_formula_sum 'Li2 Pm1 Tm1'
_symmetry_space_group_name_H-M 'P 4/m m m'
_symmetry_Int_Tables_number 123
_symmetry_space_group_name_Hall '-P 4 2'
_cell_length_a 5.3086
_cell_length_b 5.3086
_cell_length_c 3.6879
_cell_angle_alpha 90.00
_cell_angle_beta 90.00
_cell_angle_gamma 90.00
loop_
_atom_site_label
_atom_site_type_symbol
_atom_site_fract_x
_atom_site_fract_y
_atom_site_fract_z
Li1 Li 0.0000 0.5000 0.0000
Pm1 Pm 0.0000 0.0000 0.5000
Tm1 Tm 0.5000 0.5000 0.5000
```


Copy entry 1 word for word.
Theoretical X-ray powder pattern of K3Hg2I8 for λ = 1.5418 Å (Cu Kα), from a structure optimized by DFT (GGA-PBE).
Kinematic intensities with the Lorentz-polarization factor, no thermal factor.

Peak list (10 most intense, 10° ≤ 2θ ≤ 80°, in order of rising 2θ)
7.073 Å, intensity 60, (1 0 1); 5.273 Å, intensity 100, (1 0 4); 5.107 Å, intensity 57, (0 0 6); 4.197 Å, intensity 71, (1 1 0); 3.882 Å, intensity 59, (1 1 3); 3.536 Å, intensity 93, (2 0 2); 3.126 Å, intensity 55, (2 0 5); 2.824 Å, intensity 67, (1 0 10); 2.211 Å, intensity 67, (2 0 11); 2.098 Å, intensity 85, (2 2 0)

Structural model:
```
data_K3Hg2I8
_chemical_formula_sum 'K9 Hg6 I24'
_symmetry_space_group_name_H-M 'R -3 m'
_symmetry_Int_Tables_number 166
_symmetry_space_group_name_Hall '-R 3 2"'
_cell_length_a 8.3935
_cell_length_b 8.3935
_cell_length_c 30.6440
_cell_angle_alpha 90.00
_cell_angle_beta 90.00
_cell_angle_gamma 120.00
loop_
_atom_site_label
_atom_site_type_symbol
_atom_site_fract_x
_atom_site_fract_y
_atom_site_fract_z
K1 K 0.0000 0.0000 0.0000
K2 K 0.0000 0.0000 0.2010
Hg1 Hg 0.0000 0.0000 0.4033
I1 I 0.0000 0.0000 0.3122
I2 I 0.0315 0.5157 0.7691
```


Number 3 is which compound?
Li2PmTm